(1)
For Cs2K4Fe2O5, DFT lattice parameters and positions (PBE+U) gives the simulated X-ray diffraction stick pattern in this record (Cu Ka).
Neutral-atom scattering factors, no anomalous dispersion.

Peak list (10 most intense, 10 to 90 degrees two-theta, in order of rising 2θ)
two_theta, Rel. int.
15.26, 63
28.12, 38
29.17, 44
29.28, 63
29.48, 75
29.64, 100
30.80, 58
32.15, 72
35.89, 60
42.19, 38

Atomic structure:
```
Cs2K4Fe2O5
1.0
3.5522 -5.8061 0.0000
3.5522 5.8061 0.0000
-0.0154 0.0000 7.0535
Cs K Fe O
2 4 2 5
direct
0.1707 0.1707 0.3007 Cs
0.8293 0.8293 0.6993 Cs
0.2621 0.7379 0.0000 K
0.2774 0.7226 0.5000 K
0.7226 0.2774 0.5000 K
0.7379 0.2621 0.0000 K
0.3019 0.3019 0.8083 Fe
0.6981 0.6981 0.1917 Fe
0.0629 0.3531 0.7283 O
0.3531 0.0629 0.7283 O
0.5000 0.5000 0.0000 O
0.6469 0.9371 0.2717 O
0.9371 0.6469 0.2717 O
```

---

(2)
For Cs2NaFeO4, DFT lattice parameters and positions (PBE+U) gives the simulated X-ray diffraction stick pattern in this record (Cu Ka).
Neutral-atom scattering factors, no anomalous dispersion.

Peak list (10 most intense, 10 to 90 degrees two-theta, in order of rising 2θ)
two_theta, Rel. int.
21.42, 100
27.97, 65
28.53, 27
29.52, 60
33.73, 27
35.88, 35
41.04, 22
41.52, 14
50.75, 24
55.45, 19

Atomic structure:
```
Cs2NaFeO4
1.0
0.0000 6.2564 11.1267
2.7308 0.0000 11.1267
2.7308 6.2564 0.0000
Cs Na Fe O
4 2 2 8
direct
0.0544 0.0544 0.6956 Cs
0.3044 0.3044 0.9456 Cs
0.6956 0.6956 0.0544 Cs
0.9456 0.9456 0.3044 Cs
0.1250 0.1250 0.1250 Na
0.8750 0.8750 0.8750 Na
0.3750 0.3750 0.3750 Fe
0.6250 0.6250 0.6250 Fe
0.0619 0.6086 0.5064 O
0.3231 0.5064 0.6086 O
0.3914 0.9381 0.6769 O
0.4936 0.6769 0.9381 O
0.5064 0.3231 0.0619 O
0.6086 0.0619 0.3231 O
0.6769 0.4936 0.3914 O
0.9381 0.3914 0.4936 O
```

---

(3)
For CsNa5Fe2O6, DFT lattice parameters and positions (PBE+U) gives the simulated X-ray diffraction stick pattern in this record (Cu Ka).
Neutral-atom scattering factors, no anomalous dispersion.

Peak list (10 most intense, 10 to 90 degrees two-theta, in order of rising 2θ)
two_theta, Rel. int.
17.48, 94
21.83, 45
25.03, 49
25.15, 43
32.29, 97
32.49, 79
35.28, 39
35.38, 56
38.63, 100
53.38, 41

Atomic structure:
```
CsNa5Fe2O6
1.0
0.0000 6.6206 10.1474
6.5641 0.0000 10.1474
6.5641 6.6206 0.0000
Cs Na Fe O
4 20 8 24
direct
0.0097 0.4903 0.2120 Cs
0.0380 0.9620 0.2403 Cs
0.4903 0.0097 0.2880 Cs
0.9620 0.0380 0.7597 Cs
0.0318 0.5411 0.7507 Na
0.1208 0.1208 0.3792 Na
0.1397 0.1397 0.8603 Na
0.1428 0.6006 0.3741 Na
0.1441 0.6332 0.8780 Na
0.3675 0.8759 0.6494 Na
0.3720 0.9053 0.1059 Na
0.3813 0.3813 0.6187 Na
0.3897 0.3897 0.1103 Na
0.4993 0.5736 0.2182 Na
0.5411 0.0318 0.6764 Na
0.5736 0.4993 0.7089 Na
0.6006 0.1428 0.8825 Na
0.6203 0.6203 0.3797 Na
0.6313 0.6313 0.8687 Na
0.6332 0.1441 0.3447 Na
0.8703 0.8703 0.6297 Na
0.8708 0.8708 0.1292 Na
0.8759 0.3675 0.1072 Na
0.9053 0.3720 0.6168 Na
0.2135 0.2961 0.5418 Fe
0.2915 0.7003 0.5448 Fe
0.2961 0.2135 0.9487 Fe
0.3013 0.7082 0.9539 Fe
0.7003 0.2915 0.4634 Fe
0.7052 0.7866 0.9585 Fe
0.7082 0.3013 0.0365 Fe
0.7866 0.7052 0.5497 Fe
0.0051 0.5071 0.5306 O
0.1446 0.6744 0.5808 O
0.1478 0.1992 0.0988 O
0.1512 0.6958 0.1022 O
0.1992 0.1478 0.5542 O
0.2612 0.2612 0.7388 O
0.2928 0.7194 0.7429 O
0.2943 0.8465 0.3775 O
0.3018 0.8659 0.9407 O
0.3093 0.3583 0.9482 O
0.3583 0.3093 0.3841 O
0.5006 0.5006 0.4994 O
0.5071 0.0051 0.9572 O
0.5112 0.5112 0.9888 O
0.6498 0.6692 0.5756 O
0.6692 0.6498 0.1054 O
0.6744 0.1446 0.6002 O
0.6958 0.1512 0.0508 O
0.7194 0.2928 0.2449 O
0.7506 0.7506 0.7494 O
0.7683 0.8725 0.4035 O
0.8465 0.2943 0.4817 O
0.8659 0.3018 0.8917 O
0.8725 0.7683 0.9557 O
```